1.
# RbSbWO6
Calculated powder diffraction line list, Cu Kα (weighted mean of Kα1 and Kα2). Input: a cell relaxed with GGA+U.
Kinematic intensities with the Lorentz-polarization factor, no thermal factor.

The 8 most intense peaks (2θ from 10° to 90°), by angle:
14.65°, I = 18.5; 14.81°, I = 43.2; 28.33°, I = 100.0; 28.59°, I = 29.5; 29.54°, I = 34.3; 29.87°, I = 38.9; 45.47°, I = 21.4; 49.43°, I = 34.6

Cell and atoms:
```
data_RbSbWO6
_space_group_name_H-M_alt 'P 1'
_space_group_IT_number 1
_space_group_name_Hall 'P 1'
_cell_length_a 7.3760
_cell_length_b 7.3760
_cell_length_c 7.3760
_cell_angle_alpha 120.76
_cell_angle_beta 119.69
_cell_angle_gamma 89.62
loop_
_atom_site_label
_atom_site_fract_x
_atom_site_fract_y
_atom_site_fract_z
Rb1 0.3657 0.1157 0.2500
Rb2 0.6343 0.8843 0.7500
Sb1 0.0000 0.0000 0.5000
Sb2 0.0000 0.5000 0.0000
W1 0.0000 0.5000 0.5000
W2 0.5000 0.5000 0.0000
O1 0.0663 0.4339 0.2540
O2 0.0663 0.8123 0.6324
O3 0.0751 0.8251 0.2500
O4 0.3087 0.5587 0.7500
O5 0.3201 0.1877 0.7540
O6 0.3201 0.5661 0.1324
O7 0.6799 0.4339 0.8676
O8 0.6799 0.8123 0.2460
O9 0.6913 0.4413 0.2500
O10 0.9249 0.1749 0.7500
O11 0.9337 0.1877 0.3676
O12 0.9337 0.5661 0.7460
```

2.
# Li2TiFeO4
Calculated powder diffraction line list, Cu Kα (weighted mean of Kα1 and Kα2). Input: a cell relaxed with GGA+U.
Kinematic intensities with the Lorentz-polarization factor, no thermal factor.

The 8 most intense peaks (2θ from 10° to 90°), by angle:
18.13°, I = 100.0; 34.57°, I = 13.8; 35.08°, I = 28.8; 42.09°, I = 29.0; 42.70°, I = 57.3; 46.55°, I = 14.0; 61.24°, I = 15.1; 61.80°, I = 22.9

Cell and atoms:
```
data_Li2TiFeO4
_space_group_name_H-M_alt 'P 1'
_space_group_IT_number 1
_space_group_name_Hall 'P 1'
_cell_length_a 5.2655
_cell_length_b 5.9787
_cell_length_c 6.0069
_cell_angle_alpha 60.17
_cell_angle_beta 72.61
_cell_angle_gamma 89.93
loop_
_atom_site_label
_atom_site_fract_x
_atom_site_fract_y
_atom_site_fract_z
Li1 0.0000 0.0000 0.0000
Li2 0.0000 0.5000 0.0000
Li3 0.4985 0.2466 0.0008
Li4 0.5015 0.7534 0.9992
Ti1 0.4759 0.2463 0.5077
Ti2 0.5241 0.7537 0.4923
Fe1 0.0000 0.0000 0.5000
Fe2 0.0000 0.5000 0.5000
O1 0.2552 0.8573 0.2857
O2 0.2761 0.3785 0.7330
O3 0.2763 0.8893 0.7330
O4 0.2805 0.3694 0.2621
O5 0.7195 0.6306 0.7379
O6 0.7237 0.1107 0.2670
O7 0.7239 0.6215 0.2670
O8 0.7448 0.1427 0.7143
```

3.
# Fe3BO5
Calculated powder diffraction line list, Cu Kα (weighted mean of Kα1 and Kα2). Input: a cell relaxed with GGA+U.
Kinematic intensities with the Lorentz-polarization factor, no thermal factor.

The 8 most intense peaks (2θ from 10° to 90°), by angle:
16.91°, I = 55.3; 34.21°, I = 100.0; 34.36°, I = 83.4; 37.32°, I = 62.1; 41.04°, I = 38.6; 43.02°, I = 32.4; 46.13°, I = 35.8; 56.61°, I = 34.5

Cell and atoms:
```
data_Fe3BO5
_space_group_name_H-M_alt 'P 1'
_space_group_IT_number 1
_space_group_name_Hall 'P 1'
_cell_length_a 9.6393
_cell_length_b 12.4953
_cell_length_c 3.1041
_cell_angle_alpha 90.00
_cell_angle_beta 90.00
_cell_angle_gamma 90.00
loop_
_atom_site_label
_atom_site_fract_x
_atom_site_fract_y
_atom_site_fract_z
Fe1 0.0000 0.0000 0.0000
Fe2 0.0000 0.5000 0.5000
Fe3 0.0013 0.2246 0.5000
Fe4 0.2442 0.6137 0.0000
Fe5 0.2558 0.1137 0.0000
Fe6 0.4987 0.7246 0.5000
Fe7 0.5000 0.0000 0.5000
Fe8 0.5000 0.5000 0.0000
Fe9 0.5013 0.2754 0.5000
Fe10 0.7442 0.8863 0.0000
Fe11 0.7558 0.3863 0.0000
Fe12 0.9987 0.7754 0.5000
B1 0.2338 0.3620 0.0000
B2 0.2662 0.8620 0.0000
B3 0.7338 0.1380 0.0000
B4 0.7662 0.6380 0.0000
O1 0.1123 0.6406 0.5000
O2 0.1181 0.0827 0.5000
O3 0.1229 0.8612 0.0000
O4 0.1594 0.4580 0.0000
O5 0.1615 0.2655 0.0000
O6 0.3385 0.7655 0.0000
O7 0.3406 0.9580 0.0000
O8 0.3771 0.3612 0.0000
O9 0.3819 0.5827 0.5000
O10 0.3877 0.1406 0.5000
O11 0.6123 0.8594 0.5000
O12 0.6181 0.4173 0.5000
O13 0.6229 0.6388 0.0000
O14 0.6594 0.0420 0.0000
O15 0.6615 0.2345 0.0000
O16 0.8385 0.7345 0.0000
O17 0.8406 0.5420 0.0000
O18 0.8771 0.1388 0.0000
O19 0.8819 0.9173 0.5000
O20 0.8877 0.3594 0.5000
```

4.
# LiMnP4O12
Calculated powder diffraction line list, Cu Kα (weighted mean of Kα1 and Kα2). Input: a cell relaxed with GGA+U.
Kinematic intensities with the Lorentz-polarization factor, no thermal factor.

The 8 most intense peaks (2θ from 10° to 90°), by angle:
12.99°, I = 58.7; 19.47°, I = 100.0; 24.59°, I = 37.6; 25.53°, I = 62.5; 29.30°, I = 17.7; 31.44°, I = 17.2; 32.23°, I = 22.2; 32.40°, I = 17.8

Cell and atoms:
```
data_LiMnP4O12
_space_group_name_H-M_alt 'P 1'
_space_group_IT_number 1
_space_group_name_Hall 'P 1'
_cell_length_a 8.6964
_cell_length_b 8.6964
_cell_length_c 9.1675
_cell_angle_alpha 117.80
_cell_angle_beta 117.80
_cell_angle_gamma 54.49
loop_
_atom_site_label
_atom_site_fract_x
_atom_site_fract_y
_atom_site_fract_z
Li1 0.0000 0.0000 0.0000
Li2 0.0000 0.0000 0.5000
Mn1 0.3239 0.6761 0.7500
Mn2 0.6761 0.3239 0.2500
P1 0.0508 0.6541 0.8961
P2 0.3015 0.4267 0.3620
P3 0.3459 0.9492 0.6039
P4 0.4267 0.3015 0.8620
P5 0.5733 0.6985 0.1380
P6 0.6541 0.0508 0.3961
P7 0.6985 0.5733 0.6380
P8 0.9492 0.3459 0.1039
O1 0.0218 0.7987 0.0636
O2 0.0778 0.7198 0.7857
O3 0.1309 0.3947 0.2028
O4 0.2013 0.9782 0.4364
O5 0.2074 0.5885 0.5063
O6 0.2241 0.4359 0.9139
O7 0.2802 0.9222 0.7143
O8 0.3947 0.1309 0.7028
O9 0.4099 0.4621 0.3042
O10 0.4115 0.7926 0.9937
O11 0.4359 0.2241 0.4139
O12 0.4621 0.4099 0.8042
O13 0.5379 0.5901 0.1958
O14 0.5641 0.7759 0.5861
O15 0.5885 0.2074 0.0063
O16 0.5901 0.5379 0.6958
O17 0.6053 0.8691 0.2972
O18 0.7198 0.0778 0.2857
O19 0.7759 0.5641 0.0861
O20 0.7926 0.4115 0.4937
O21 0.7987 0.0218 0.5636
O22 0.8691 0.6053 0.7972
O23 0.9222 0.2802 0.2143
O24 0.9782 0.2013 0.9364
```

5.
# Ca3CoO6
Calculated powder diffraction line list, Cu Kα (weighted mean of Kα1 and Kα2). Input: a cell relaxed with GGA+U.
Kinematic intensities with the Lorentz-polarization factor, no thermal factor.

The 8 most intense peaks (2θ from 10° to 90°), by angle:
19.24°, I = 100.0; 19.49°, I = 52.6; 30.74°, I = 22.3; 35.04°, I = 54.8; 35.74°, I = 25.6; 47.10°, I = 29.8; 47.68°, I = 31.4; 48.00°, I = 29.0

Cell and atoms:
```
data_Ca3CoO6
_space_group_name_H-M_alt 'P 1'
_space_group_IT_number 1
_space_group_name_Hall 'P 1'
_cell_length_a 6.3453
_cell_length_b 8.9309
_cell_length_c 9.1332
_cell_angle_alpha 90.06
_cell_angle_beta 94.27
_cell_angle_gamma 90.01
loop_
_atom_site_label
_atom_site_fract_x
_atom_site_fract_y
_atom_site_fract_z
Ca1 0.0978 0.1735 0.4305
Ca2 0.0983 0.6742 0.9305
Ca3 0.2488 0.3522 0.7500
Ca4 0.2512 0.8519 0.2497
Ca5 0.4013 0.1743 0.0690
Ca6 0.4021 0.6739 0.5696
Ca7 0.5979 0.3261 0.4304
Ca8 0.5987 0.8257 0.9310
Ca9 0.7488 0.1481 0.7503
Ca10 0.7512 0.6478 0.2500
Ca11 0.9017 0.3258 0.0695
Ca12 0.9022 0.8265 0.5695
Co1 0.0000 0.0000 0.0000
Co2 0.0000 0.5000 0.5000
Co3 0.5000 0.0000 0.5000
Co4 0.5000 0.5000 0.0000
O1 0.0730 0.1675 0.8976
O2 0.0737 0.6009 0.6813
O3 0.0747 0.6669 0.3987
O4 0.0757 0.1018 0.1807
O5 0.2236 0.4271 0.0006
O6 0.2239 0.9261 0.5007
O7 0.2754 0.9266 0.9981
O8 0.2762 0.4264 0.4994
O9 0.4252 0.1672 0.6012
O10 0.4261 0.1002 0.3185
O11 0.4264 0.6014 0.8189
O12 0.4267 0.6673 0.1018
O13 0.5733 0.3327 0.8982
O14 0.5736 0.3986 0.1811
O15 0.5739 0.8998 0.6815
O16 0.5748 0.8328 0.3988
O17 0.7238 0.5736 0.5006
O18 0.7246 0.0734 0.0019
O19 0.7761 0.0739 0.4993
O20 0.7764 0.5729 0.9994
O21 0.9243 0.8982 0.8193
O22 0.9253 0.3331 0.6013
O23 0.9263 0.3991 0.3187
O24 0.9270 0.8325 0.1024
```